# 1
Starting from the PBE geometry in Alexandria, the powder X-ray diffraction pattern of Ac2La4Ho3 was calculated for Cu Kα (weighted mean of Kα1 and Kα2).
Lines closer than 0.1° are merged.

Most intense lines, 2θ from 15° to 90°, in order of rising 2θ:
25.8 deg, intensity 27
26.0 deg, intensity 21
27.5 deg, intensity 23
30.2 deg, intensity 82
30.6 deg, intensity 38
31.1 deg, intensity 100
33.0 deg, intensity 35
52.3 deg, intensity 22
54.6 deg, intensity 21
60.7 deg, intensity 23

Structure:
```
9
Lattice="0.0000 6.2346 8.2922 3.2428 0.0000 8.2922 3.2428 6.2346 0.0000" Properties=species:S:1:pos:R:3 pbc="T T T"
Ac 3.2428 6.2346 1.9061
Ac 3.2428 6.2346 14.6782
La 3.2428 4.3940 5.1998
La 3.2428 8.0752 5.1998
La 3.2428 4.3940 11.3845
La 3.2428 8.0752 11.3845
Ho 1.6214 3.1173 0.0000
Ho 1.6214 3.1173 8.2922
Ho 3.2428 6.2346 8.2922
```

# 2
Starting from the PBE geometry in Alexandria, the powder X-ray diffraction pattern of Ac3Tb2Y6 was calculated for Cu Kα (weighted mean of Kα1 and Kα2).
Lines closer than 0.1° are merged.

Most intense lines, 2θ from 15° to 90°, in order of rising 2θ:
26.2 deg, intensity 25
26.8 deg, intensity 24
28.2 deg, intensity 45
29.7 deg, intensity 89
29.9 deg, intensity 90
30.3 deg, intensity 100
30.6 deg, intensity 34
31.5 deg, intensity 62
32.1 deg, intensity 32
42.4 deg, intensity 23

Structure:
```
22
Lattice="6.3223 0.0000 0.0000 -3.1048 6.0674 0.0000 -0.4289 -1.3294 20.7115" Properties=species:S:1:pos:R:3 pbc="T T T"
Ac -0.0646 0.2984 5.2063
Ac -0.1491 2.0159 16.6038
Ac 0.2093 3.9816 6.3026
Ac 2.5793 0.7565 14.4090
Ac 2.9377 2.7222 4.1077
Ac 2.8532 4.4396 15.5052
Tb 0.1184 3.0841 20.2648
Tb 1.9499 0.5313 10.8157
Tb 0.8387 4.2067 9.8958
Tb 2.6703 1.6539 0.4467
Y -2.6164 5.0027 1.3097
Y -2.5428 4.4773 8.3136
Y -0.8870 1.4240 9.0818
Y -0.4522 2.2266 2.0713
Y 0.2889 3.4151 13.2045
Y 2.3265 -0.7051 17.7578
Y 0.4622 5.4431 2.9538
Y 2.4997 1.3229 7.5071
Y 3.2409 2.5114 18.6403
Y 3.6757 3.3140 11.6297
Y 5.3314 0.2607 12.3979
Y 5.4050 -0.2647 19.4019
```